Structure and simulated powder XRD pattern of Hf2ZrSc4 (a cell relaxed with PBE; CuKα).

Crystal structure
```
Hf2ZrSc4
1.0
21.1828 0.0000 0.0000
0.0000 3.1975 0.0000
-1.1606 0.0000 4.8647
Hf Zr Sc
4 2 8
Cartesian
1.3681 0.0000 0.3291
8.0627 1.5987 4.5356
11.9595 1.5987 0.3291
18.6541 0.0000 4.5356
-0.5803 1.5987 2.4323
10.0111 0.0000 2.4323
2.2313 0.0000 3.1061
4.0972 1.5987 0.9847
5.3336 0.0000 3.8800
7.1995 1.5987 1.7585
12.8227 1.5987 3.1061
14.6886 0.0000 0.9847
15.9250 1.5987 3.8800
17.7909 0.0000 1.7585
```

Peak list (12 most intense, 2θ = 10–90°, in order of falling intensity)
| Position (°2θ) | Rel. int. | index |
| --- | --- | --- |
| 34.41 | 100 | 3 1 -1 |
| 35.49 | 92 | 8 0 -1 |
| 35.32 | 50 | 6 0 1 |
| 35.91 | 50 | 2 0 -2 |
| 18.25 | 50 | 0 0 1 |
| 28.24 | 32 | 1 1 0 |
| 69.50 | 27 | 8 2 -1 |
| 48.91 | 25 | 9 1 0 |
| 42.66 | 22 | 7 1 -1 |
| 33.26 | 22 | 1 1 -1 |
| 46.30 | 17 | 1 1 -2 |
| 63.59 | 16 | 5 1 -3 |

Structure and simulated powder XRD pattern of CsPuTiTe4 (a cell relaxed with PBE; CuKα).

Crystal structure
```
CsPuTiTe4
1.0
7.2997 0.0000 0.0000
0.0000 7.5201 0.0000
-3.5225 0.0000 10.0315
Cs Pu Ti Te
2 2 2 8
Cartesian
1.6055 1.8800 0.5651
2.1716 5.6401 9.4664
-0.3417 1.8800 5.4563
4.1189 5.6401 4.5751
0.4608 5.6401 3.3737
3.3164 1.8800 6.6578
-2.2905 3.8511 7.0776
-2.2905 7.4291 7.0776
2.5261 5.6401 1.7954
1.1832 5.6401 5.8319
2.5940 1.8800 4.1996
1.2510 1.8800 8.2361
6.0676 0.0910 2.9539
6.0676 3.6691 2.9539
```

Peak list (12 most intense, 2θ = 10–90°, in order of falling intensity)
| Position (°2θ) | Rel. int. | index |
| --- | --- | --- |
| 27.89 | 100 | 1 1 2 |
| 27.02 | 73 | 1 2 0 |
| 28.71 | 71 | 2 1 -2 |
| 29.69 | 65 | 0 2 2 |
| 29.95 | 64 | 1 2 -2 |
| 17.47 | 55 | 1 1 0 |
| 26.09 | 55 | 2 0 -2 |
| 23.66 | 44 | 0 2 0 |
| 25.19 | 39 | 1 0 2 |
| 35.34 | 36 | 2 2 0 |
| 41.11 | 32 | 3 1 0 |
| 44.30 | 32 | 1 3 2 |

Repeat the first record exactly.
Structure and simulated powder XRD pattern of Hf2ZrSc4 (a cell relaxed with PBE; CuKα).

Crystal structure
```
Hf2ZrSc4
1.0
21.1828 0.0000 0.0000
0.0000 3.1975 0.0000
-1.1606 0.0000 4.8647
Hf Zr Sc
4 2 8
Cartesian
1.3681 0.0000 0.3291
8.0627 1.5987 4.5356
11.9595 1.5987 0.3291
18.6541 0.0000 4.5356
-0.5803 1.5987 2.4323
10.0111 0.0000 2.4323
2.2313 0.0000 3.1061
4.0972 1.5987 0.9847
5.3336 0.0000 3.8800
7.1995 1.5987 1.7585
12.8227 1.5987 3.1061
14.6886 0.0000 0.9847
15.9250 1.5987 3.8800
17.7909 0.0000 1.7585
```

Peak list (12 most intense, 2θ = 10–90°, in order of falling intensity)
| Position (°2θ) | Rel. int. | index |
| --- | --- | --- |
| 34.41 | 100 | 3 1 -1 |
| 35.49 | 92 | 8 0 -1 |
| 35.32 | 50 | 6 0 1 |
| 35.91 | 50 | 2 0 -2 |
| 18.25 | 50 | 0 0 1 |
| 28.24 | 32 | 1 1 0 |
| 69.50 | 27 | 8 2 -1 |
| 48.91 | 25 | 9 1 0 |
| 42.66 | 22 | 7 1 -1 |
| 33.26 | 22 | 1 1 -1 |
| 46.30 | 17 | 1 1 -2 |
| 63.59 | 16 | 5 1 -3 |